# 1
Starting from a PBE-relaxed structure, the powder XRD pattern of Cu3Ag2F10 was calculated for a wavelength of 1.5418 Å.

Cell lengths 9.4731, 9.4731, 7.6527 Å; angles 110.66, 110.66, 36.63 degrees
Sites, in units of the cell vectors:
Cu 0.2463 0.7537 0.0000
Cu 0.3162 0.3162 0.9767
Cu 0.4220 0.4220 0.5235
Cu 0.5780 0.5780 0.4765
Cu 0.6838 0.6838 0.0233
Cu 0.7537 0.2463 0.0000
Ag 0.1123 0.1123 0.7191
Ag 0.2182 0.2182 0.3794
Ag 0.7818 0.7818 0.6206
Ag 0.8877 0.8877 0.2809
F 0.0000 0.5000 0.0000
F 0.0085 0.0085 0.1805
F 0.1212 0.5784 0.5277
F 0.1382 0.6353 0.9531
F 0.2555 0.2555 0.7198
F 0.2789 0.7211 0.5000
F 0.3647 0.8618 0.0469
F 0.3679 0.3679 0.2406
F 0.4216 0.8788 0.4723
F 0.4808 0.4808 0.8151
F 0.5000 0.0000 0.0000
F 0.5192 0.5192 0.1849
F 0.5784 0.1212 0.5277
F 0.6321 0.6321 0.7594
F 0.6353 0.1382 0.9531
F 0.7211 0.2789 0.5000
F 0.7445 0.7445 0.2802
F 0.8618 0.3647 0.0469
F 0.8788 0.4216 0.4723
F 0.9915 0.9915 0.8195

Largest 10 diffraction maxima, by intensity, 2θ from 10° to 80°:
2θ 28.05, I = 100.0; 2θ 28.53, I = 50.0; 2θ 29.81, I = 44.7; 2θ 42.82, I = 43.4; 2θ 39.45, I = 25.7; 2θ 30.02, I = 21.7; 2θ 52.09, I = 19.1; 2θ 53.68, I = 17.8; 2θ 43.42, I = 15.9; 2θ 67.69, I = 15.1

# 2
Starting from a PBE-relaxed structure, the powder XRD pattern of Ac5Pr6Nd was calculated for a wavelength of 1.5418 Å.

Cell lengths 10.1323, 10.1323, 10.1323 Å; angles 148.80, 116.43, 72.52 degrees
Sites, in units of the cell vectors:
Ac 0.0000 0.0000 0.0000
Ac 0.1667 0.6667 0.5000
Ac 0.3364 0.3364 0.0000
Ac 0.6636 0.6636 0.0000
Ac 0.8333 0.3333 0.5000
Pr 0.0864 0.8346 0.2519
Pr 0.2529 0.5000 0.7529
Pr 0.4173 0.1654 0.2519
Pr 0.5827 0.8346 0.7481
Pr 0.7471 0.5000 0.2471
Pr 0.9136 0.1654 0.7481
Nd 0.5000 0.0000 0.5000

Largest 10 diffraction maxima, by intensity, 2θ from 10° to 80°:
2θ 28.57, I = 100.0; 2θ 32.88, I = 34.7; 2θ 56.09, I = 30.8; 2θ 47.71, I = 24.8; 2θ 33.58, I = 16.4; 2θ 57.02, I = 14.7; 2θ 59.15, I = 13.2; 2θ 47.18, I = 12.8; 2θ 76.26, I = 6.3; 2θ 77.04, I = 6.1

# 3
Starting from a PBE-relaxed structure, the powder XRD pattern of BaZnClF3 was calculated for a wavelength of 1.5418 Å.

Cell lengths 7.3578, 7.3578, 5.6186 Å; angles 100.74, 100.74, 119.87 degrees
Sites, in units of the cell vectors:
Ba 0.1610 0.8390 0.7500
Ba 0.8390 0.1610 0.2500
Zn 0.4527 0.5473 0.2500
Zn 0.5473 0.4527 0.7500
Cl 0.0792 0.9208 0.2500
Cl 0.9208 0.0792 0.7500
F 0.2854 0.4190 0.5036
F 0.3029 0.6971 0.2500
F 0.4190 0.2854 0.0036
F 0.5810 0.7146 0.9964
F 0.6971 0.3029 0.7500
F 0.7146 0.5810 0.4964

Largest 10 diffraction maxima, by intensity, 2θ from 10° to 80°:
2θ 26.04, I = 100.0; 2θ 24.68, I = 92.7; 2θ 22.03, I = 88.4; 2θ 34.64, I = 53.4; 2θ 43.70, I = 42.9; 2θ 34.39, I = 35.4; 2θ 39.42, I = 35.4; 2θ 18.49, I = 30.1; 2θ 51.73, I = 29.7; 2θ 39.12, I = 29.4

# 4
Starting from a PBE-relaxed structure, the powder XRD pattern of CeSmCS was calculated for a wavelength of 1.5418 Å.

Cell lengths 3.8477, 3.8477, 5.5226 Å; angles 90.00, 90.00, 90.00 degrees
Sites, in units of the cell vectors:
Ce 0.0000 0.0000 0.0000
Sm 0.5000 0.5000 0.5000
C 0.5000 0.5000 0.0000
S 0.0000 0.0000 0.5000

Largest 10 diffraction maxima, by intensity, 2θ from 10° to 80°:
2θ 28.27, I = 100.0; 2θ 32.92, I = 63.2; 2θ 46.88, I = 46.0; 2θ 32.42, I = 32.9; 2θ 55.97, I = 31.3; 2θ 58.47, I = 23.5; 2θ 47.25, I = 22.5; 2θ 55.32, I = 16.2; 2θ 75.65, I = 12.9; 2θ 77.53, I = 10.2